Computed powder X-ray diffraction pattern of Fe2O3 for copper Kα, from the PBE+U geometry in the Materials Project.
Intensities are scaled so that the largest is 100.

Atomic structure:
```
Fe2O3
1.0
7.524 0.000 0.000
0.000 5.173 0.000
0.000 0.000 5.325
Fe O
8 12
direct
0.112 0.248 0.031 Fe
0.112 0.752 0.531 Fe
0.388 0.252 0.531 Fe
0.388 0.748 0.031 Fe
0.612 0.252 0.969 Fe
0.612 0.748 0.469 Fe
0.888 0.248 0.469 Fe
0.888 0.752 0.969 Fe
0.000 0.048 0.750 O
0.000 0.952 0.250 O
0.153 0.393 0.397 O
0.153 0.607 0.897 O
0.347 0.107 0.897 O
0.347 0.893 0.397 O
0.500 0.452 0.250 O
0.500 0.548 0.750 O
0.653 0.107 0.603 O
0.653 0.893 0.103 O
0.847 0.393 0.103 O
0.847 0.607 0.603 O
```

Largest 6 diffraction maxima, low angle first, 10° ≤ 2θ ≤ 90°:
d 2.662, intensity 27.0; d 2.642, intensity 100.0; d 2.586, intensity 22.7; d 1.855, intensity 24.2; d 1.533, intensity 18.0; d 1.504, intensity 28.1

***

Computed powder X-ray diffraction pattern of MgFeAgO2 for copper Kα, from the PBE+U geometry in the Materials Project.
Intensities are scaled so that the largest is 100.

Atomic structure:
```
MgFeAgO2
1.0
1.624 0.938 8.002
-1.624 0.938 8.002
0.000 -1.876 8.002
Mg Fe Ag O
1 1 1 2
direct
0.000 0.000 0.000 Mg
0.229 0.229 0.229 Fe
0.774 0.774 0.774 Ag
0.641 0.641 0.641 O
0.871 0.871 0.871 O
```

Largest 6 diffraction maxima, low angle first, 10° ≤ 2θ ≤ 90°:
d 8.002, intensity 48.5; d 2.739, intensity 100.0; d 2.667, intensity 62.3; d 2.548, intensity 77.5; d 2.428, intensity 60.7; d 1.624, intensity 47.0

***

Computed powder X-ray diffraction pattern of LiCa3Fe5Sn3O16 for copper Kα, from the PBE+U geometry in the Materials Project.
Intensities are scaled so that the largest is 100.

Atomic structure:
```
LiCa3Fe5Sn3O16
1.0
9.450 0.000 0.000
0.000 3.130 0.000
-0.028 0.000 11.047
Li Ca Fe Sn O
1 3 5 3 16
direct
0.000 0.000 0.000 Li
0.482 0.500 0.303 Ca
0.491 0.000 0.790 Ca
0.969 0.500 0.494 Ca
0.304 0.500 0.527 Fe
0.310 0.500 0.035 Fe
0.644 0.000 0.534 Fe
0.797 0.500 0.260 Fe
0.802 0.500 0.743 Fe
0.141 0.000 0.244 Sn
0.157 0.000 0.754 Sn
0.675 0.000 0.031 Sn
0.019 0.500 0.803 O
0.108 0.500 0.113 O
0.139 0.000 0.571 O
0.209 0.500 0.353 O
0.256 0.000 0.928 O
0.311 0.500 0.723 O
0.344 0.000 0.160 O
0.448 0.000 0.469 O
0.523 0.500 0.977 O
0.606 0.500 0.667 O
0.637 0.000 0.212 O
0.708 0.500 0.433 O
0.742 0.000 0.853 O
0.817 0.500 0.066 O
0.844 0.000 0.625 O
0.945 0.000 0.320 O
```

Largest 6 diffraction maxima, low angle first, 10° ≤ 2θ ≤ 90°:
d 4.769, intensity 50.8; d 4.725, intensity 49.0; d 2.762, intensity 48.9; d 2.736, intensity 91.0; d 2.617, intensity 100.0; d 2.609, intensity 48.3